Computed PXRD pattern of Rb2YZnF6 for λ = 1.5418 Å (Cu Kα), from a DFT-relaxed cell (PBE, Alexandria).

The 10 most intense peaks (2θ from 5° to 70°), low angle first:
2θ 16.8, 5.293 Å, I 2
2θ 19.4, 4.584 Å, I 1
2θ 27.5, 3.241 Å, I 100
2θ 33.9, 2.646 Å, I 7
2θ 39.3, 2.292 Å, I 44
2θ 48.7, 1.871 Å, I 41
2θ 51.8, 1.764 Å, I 1
2θ 56.8, 1.621 Å, I 27
2θ 64.3, 1.449 Å, I 18
2θ 67.8, 1.382 Å, I 2

Crystal structure
Cell lengths 6.482, 6.482, 6.482 Å; angles 60.00, 60.00, 60.00 degrees
Fractional coordinates of all 10 atoms:
Rb: 0.250 0.250 0.250
Rb: 0.750 0.750 0.750
Y: 0.000 0.000 0.000
Zn: 0.500 0.500 0.500
F: 0.239 0.239 0.761
F: 0.239 0.761 0.239
F: 0.239 0.761 0.761
F: 0.761 0.239 0.239
F: 0.761 0.239 0.761
F: 0.761 0.761 0.239

---

Computed PXRD pattern of Ga for λ = 1.5418 Å (Cu Kα), from a DFT-relaxed cell (PBE, Alexandria).

The 5 most intense peaks (2θ from 5° to 70°), low angle first:
2θ 35.4, 2.536 Å, I 54
2θ 39.8, 2.266 Å, I 100
2θ 50.9, 1.793 Å, I 16
2θ 63.6, 1.462 Å, I 16
2θ 66.4, 1.407 Å, I 21

Crystal structure
Cell lengths 2.925, 2.925, 5.077 Å; angles 90.00, 90.00, 120.00 degrees
Fractional coordinates of all 2 atoms:
Ga: 0.333 0.667 0.250
Ga: 0.667 0.333 0.750

---

Computed PXRD pattern of Tb8CeEr3 for λ = 1.5418 Å (Cu Kα), from a DFT-relaxed cell (PBE, Alexandria).

The 10 most intense peaks (2θ from 5° to 70°), low angle first:
2θ 24.4, 3.642 Å, I 57
2θ 26.0, 3.426 Å, I 49
2θ 29.4, 3.041 Å, I 75
2θ 31.6, 2.836 Å, I 60
2θ 33.2, 2.696 Å, I 35
2θ 36.6, 2.452 Å, I 100
2θ 43.6, 2.074 Å, I 42
2θ 45.1, 2.010 Å, I 39
2θ 57.0, 1.617 Å, I 31
2θ 59.6, 1.552 Å, I 33

Crystal structure
Cell lengths 8.315, 8.315, 8.315 Å; angles 117.72, 117.72, 94.00 degrees
Fractional coordinates of all 12 atoms:
Tb: 0.138 0.138 0.751
Tb: 0.238 0.706 0.000
Tb: 0.294 0.294 0.532
Tb: 0.387 0.387 0.249
Tb: 0.613 0.862 0.000
Tb: 0.706 0.238 0.000
Tb: 0.762 0.762 0.468
Tb: 0.862 0.613 0.000
Ce: 0.500 0.500 0.000
Er: 0.000 0.000 0.000
Er: 0.250 0.750 0.500
Er: 0.750 0.250 0.500

---

Computed PXRD pattern of Li3B4C4 for λ = 1.5418 Å (Cu Kα), from a DFT-relaxed cell (PBE, Alexandria).

The 10 most intense peaks (2θ from 5° to 70°), low angle first:
2θ 19.8, 4.489 Å, I 3
2θ 26.5, 3.367 Å, I 100
2θ 33.3, 2.693 Å, I 3
2θ 38.0, 2.370 Å, I 12
2θ 40.3, 2.235 Å, I 6
2θ 43.2, 2.096 Å, I 7
2θ 46.9, 1.938 Å, I 63
2θ 47.2, 1.924 Å, I 7
2θ 54.5, 1.683 Å, I 12
2θ 68.6, 1.368 Å, I 25

Crystal structure
Cell lengths 2.736, 2.736, 13.467 Å; angles 90.00, 90.00, 120.00 degrees
Fractional coordinates of all 11 atoms:
Li: 0.000 0.000 0.000
Li: 0.000 0.000 0.264
Li: 0.000 0.000 0.736
B: 0.333 0.667 0.396
B: 0.333 0.667 0.869
B: 0.667 0.333 0.131
B: 0.667 0.333 0.604
C: 0.333 0.667 0.130
C: 0.333 0.667 0.610
C: 0.667 0.333 0.390
C: 0.667 0.333 0.870

---

Computed PXRD pattern of Th2Ge3SbPt4 for λ = 1.5418 Å (Cu Kα), from a DFT-relaxed cell (PBE, Alexandria).

The 10 most intense peaks (2θ from 5° to 70°), low angle first:
2θ 26.4, 3.382 Å, I 18
2θ 32.4, 2.764 Å, I 38
2θ 33.5, 2.671 Å, I 100
2θ 39.5, 2.284 Å, I 10
2θ 41.5, 2.178 Å, I 55
2θ 44.8, 2.023 Å, I 17
2θ 47.2, 1.925 Å, I 22
2θ 53.6, 1.711 Å, I 19
2θ 60.1, 1.540 Å, I 19
2θ 64.6, 1.442 Å, I 17

Crystal structure
Cell lengths 4.356, 4.356, 10.727 Å; angles 90.00, 90.00, 90.00 degrees
Fractional coordinates of all 10 atoms:
Th: 0.000 0.500 0.228
Th: 0.500 0.000 0.772
Ge: 0.000 0.500 0.874
Ge: 0.500 0.000 0.126
Ge: 0.500 0.500 0.500
Sb: 0.000 0.000 0.500
Pt: 0.000 0.000 0.000
Pt: 0.000 0.500 0.646
Pt: 0.500 0.000 0.354
Pt: 0.500 0.500 0.000

---

Computed PXRD pattern of Tb2Tl2H for λ = 1.5418 Å (Cu Kα), from a DFT-relaxed cell (PBE, Alexandria).

The 10 most intense peaks (2θ from 5° to 70°), low angle first:
2θ 30.3, 2.948 Å, I 100
2θ 30.7, 2.916 Å, I 38
2θ 33.8, 2.655 Å, I 63
2θ 34.2, 2.625 Å, I 35
2θ 34.3, 2.613 Å, I 40
2θ 36.0, 2.494 Å, I 24
2θ 37.0, 2.431 Å, I 18
2θ 39.4, 2.289 Å, I 22
2θ 48.7, 1.868 Å, I 20
2θ 55.2, 1.663 Å, I 26

Crystal structure
Cell lengths 6.353, 6.353, 10.452 Å; angles 90.00, 90.00, 145.80 degrees
Fractional coordinates of all 10 atoms:
Tb: 0.055 0.945 0.500
Tb: 0.341 0.659 0.271
Tb: 0.659 0.341 0.771
Tb: 0.945 0.055 0.000
Tl: 0.218 0.782 0.008
Tl: 0.402 0.598 0.716
Tl: 0.598 0.402 0.216
Tl: 0.782 0.218 0.508
H: 0.104 0.896 0.696
H: 0.896 0.104 0.196

---

Computed PXRD pattern of La6MgGe2 for λ = 1.5418 Å (Cu Kα), from a DFT-relaxed cell (PBE, Alexandria).

The 10 most intense peaks (2θ from 5° to 70°), low angle first:
2θ 23.9, 3.730 Å, I 33
2θ 29.5, 3.032 Å, I 100
2θ 31.4, 2.845 Å, I 62
2θ 31.8, 2.811 Å, I 53
2θ 32.2, 2.779 Å, I 81
2θ 34.9, 2.568 Å, I 37
2θ 36.1, 2.487 Å, I 29
2θ 37.4, 2.406 Å, I 37
2θ 52.8, 1.733 Å, I 31
2θ 54.6, 1.681 Å, I 30

Crystal structure
Cell lengths 9.105, 9.105, 9.105 Å; angles 111.32, 110.29, 106.83 degrees
Fractional coordinates of all 18 atoms:
La: 0.043 0.246 0.797
La: 0.170 0.472 0.301
La: 0.170 0.869 0.699
La: 0.325 0.225 0.550
La: 0.325 0.775 0.101
La: 0.449 0.246 0.203
La: 0.551 0.754 0.797
La: 0.675 0.225 0.899
La: 0.675 0.775 0.450
La: 0.830 0.131 0.301
La: 0.830 0.528 0.699
La: 0.957 0.754 0.203
Mg: 0.000 0.000 0.000
Mg: 0.500 0.500 0.000
Ge: 0.165 0.500 0.665
Ge: 0.381 0.881 0.500
Ge: 0.619 0.119 0.500
Ge: 0.835 0.500 0.335

---

Computed PXRD pattern of AlFe6Mo for λ = 1.5418 Å (Cu Kα), from a DFT-relaxed cell (PBE, Alexandria).

The 10 most intense peaks (2θ from 5° to 70°), low angle first:
2θ 7.8, 11.280 Å, I 6
2θ 16.6, 5.336 Å, I 3
2θ 17.5, 5.054 Å, I 3
2θ 22.9, 3.876 Å, I 3
2θ 32.2, 2.783 Å, I 2
2θ 43.9, 2.064 Å, I 100
2θ 45.4, 1.996 Å, I 45
2θ 61.3, 1.513 Å, I 9
2θ 66.1, 1.413 Å, I 7
2θ 66.3, 1.410 Å, I 7

Crystal structure
Cell lengths 6.412, 6.412, 11.280 Å; angles 90.00, 90.00, 123.67 degrees
Fractional coordinates of all 32 atoms:
Al: 0.000 0.000 0.248
Al: 0.000 0.000 0.752
Al: 0.250 0.750 0.000
Al: 0.750 0.250 0.000
Fe: 0.000 0.000 0.000
Fe: 0.000 0.000 0.500
Fe: 0.125 0.375 0.375
Fe: 0.125 0.375 0.625
Fe: 0.126 0.376 0.124
Fe: 0.126 0.376 0.876
Fe: 0.247 0.753 0.246
Fe: 0.247 0.753 0.754
Fe: 0.375 0.125 0.375
Fe: 0.375 0.125 0.625
Fe: 0.376 0.126 0.124
Fe: 0.376 0.126 0.876
Fe: 0.500 0.500 0.000
Fe: 0.500 0.500 0.500
Fe: 0.624 0.874 0.124
Fe: 0.624 0.874 0.876
Fe: 0.625 0.875 0.375
Fe: 0.625 0.875 0.625
Fe: 0.753 0.247 0.246
Fe: 0.753 0.247 0.754
Fe: 0.874 0.624 0.124
Fe: 0.874 0.624 0.876
Fe: 0.875 0.625 0.375
Fe: 0.875 0.625 0.625
Mo: 0.253 0.747 0.500
Mo: 0.500 0.500 0.245
Mo: 0.500 0.500 0.755
Mo: 0.747 0.253 0.500

---

Computed PXRD pattern of NaSr3Pd for λ = 1.5418 Å (Cu Kα), from a DFT-relaxed cell (PBE, Alexandria).

The 10 most intense peaks (2θ from 5° to 70°), low angle first:
2θ 9.2, 9.663 Å, I 100
2θ 15.8, 5.618 Å, I 50
2θ 25.9, 3.437 Å, I 47
2θ 26.2, 3.401 Å, I 51
2θ 27.5, 3.240 Å, I 60
2θ 28.6, 3.117 Å, I 67
2θ 34.5, 2.602 Å, I 26
2θ 39.0, 2.309 Å, I 32
2θ 40.1, 2.246 Å, I 43
2θ 45.4, 1.997 Å, I 24

Crystal structure
Cell lengths 7.643, 7.643, 10.406 Å; angles 109.80, 109.80, 48.14 degrees
Fractional coordinates of all 10 atoms:
Na: 0.095 0.095 0.431
Na: 0.905 0.905 0.569
Sr: 0.136 0.136 0.932
Sr: 0.347 0.347 0.343
Sr: 0.395 0.395 0.794
Sr: 0.605 0.605 0.206
Sr: 0.653 0.653 0.657
Sr: 0.864 0.864 0.068
Pd: 0.372 0.372 0.072
Pd: 0.628 0.628 0.928

---

Computed PXRD pattern of PrNdTm6 for λ = 1.5418 Å (Cu Kα), from a DFT-relaxed cell (PBE, Alexandria).

The 10 most intense peaks (2θ from 5° to 70°), low angle first:
2θ 28.7, 3.116 Å, I 24
2θ 31.6, 2.829 Å, I 25
2θ 32.8, 2.729 Å, I 100
2θ 43.2, 2.095 Å, I 16
2θ 50.8, 1.799 Å, I 20
2θ 57.1, 1.614 Å, I 21
2θ 59.3, 1.558 Å, I 3
2θ 61.0, 1.518 Å, I 23
2θ 61.8, 1.502 Å, I 16
2θ 68.8, 1.365 Å, I 4

Crystal structure
Cell lengths 7.195, 7.195, 5.658 Å; angles 90.00, 90.00, 120.00 degrees
Fractional coordinates of all 8 atoms:
Pr: 0.000 0.000 0.000
Nd: 0.667 0.333 0.500
Tm: 0.004 0.502 0.000
Tm: 0.168 0.337 0.500
Tm: 0.168 0.832 0.500
Tm: 0.498 0.502 0.000
Tm: 0.498 0.996 0.000
Tm: 0.663 0.832 0.500

---

Computed PXRD pattern of Er4Tm7Mg for λ = 1.5418 Å (Cu Kα), from a DFT-relaxed cell (PBE, Alexandria).

The 10 most intense peaks (2θ from 5° to 70°), low angle first:
2θ 29.2, 3.062 Å, I 24
2θ 32.4, 2.763 Å, I 24
2θ 33.5, 2.679 Å, I 100
2θ 44.1, 2.052 Å, I 16
2θ 51.7, 1.769 Å, I 13
2θ 51.8, 1.766 Å, I 7
2θ 58.5, 1.579 Å, I 20
2θ 62.3, 1.490 Å, I 15
2θ 62.4, 1.488 Å, I 7
2θ 63.0, 1.476 Å, I 11

Crystal structure
Cell lengths 6.132, 5.526, 10.597 Å; angles 90.00, 90.05, 90.00 degrees
Fractional coordinates of all 12 atoms:
Er: 0.000 0.000 0.000
Er: 0.163 0.500 0.502
Er: 0.499 0.000 0.168
Er: 0.670 0.500 0.335
Tm: 0.002 0.000 0.335
Tm: 0.162 0.500 0.834
Tm: 0.167 0.500 0.168
Tm: 0.495 0.000 0.831
Tm: 0.497 0.000 0.505
Tm: 0.669 0.500 0.000
Tm: 0.990 0.000 0.668
Mg: 0.663 0.500 0.669

---

Computed PXRD pattern of ZnSb2Au3 for λ = 1.5418 Å (Cu Kα), from a DFT-relaxed cell (PBE, Alexandria).

The 10 most intense peaks (2θ from 5° to 70°), low angle first:
2θ 27.3, 3.262 Å, I 26
2θ 31.5, 2.842 Å, I 100
2θ 32.1, 2.790 Å, I 46
2θ 45.1, 2.010 Å, I 37
2θ 45.6, 1.991 Å, I 70
2θ 53.5, 1.713 Å, I 5
2θ 56.4, 1.631 Å, I 37
2θ 65.6, 1.423 Å, I 7
2θ 65.8, 1.419 Å, I 6
2θ 67.1, 1.395 Å, I 5

Crystal structure
Cell lengths 8.838, 8.838, 4.020 Å; angles 103.11, 103.11, 142.54 degrees
Fractional coordinates of all 6 atoms:
Zn: 0.000 0.000 0.000
Sb: 0.333 0.660 0.998
Sb: 0.660 0.333 0.998
Au: 0.156 0.837 0.998
Au: 0.499 0.499 0.000
Au: 0.837 0.156 0.998